[1]
Computed X-ray diffraction stick pattern
Compound: Tc2O7
Radiation: CuKα
Structure: a PBE-relaxed structure

Top 10 peaks for 2θ from 10° to 90°, in order of rising 2θ:
2θ = 12.33°, I = 8, hkl 0 2 0
2θ = 19.66°, I = 11, hkl 1 1 1
2θ = 22.43°, I = 100, hkl 0 0 2
2θ = 24.82°, I = 14, hkl 0 4 0
2θ = 31.22°, I = 8, hkl 1 4 1
2θ = 37.83°, I = 6, hkl 1 1 3
2θ = 39.32°, I = 6, hkl 2 4 0
2θ = 39.42°, I = 9, hkl 1 2 3
2θ = 54.68°, I = 5, hkl 1 8 1
2θ = 62.02°, I = 6, hkl 1 2 5

Cell and atoms:
Lattice parameters (Å, degrees): 5.9558 14.3515 7.9119 90.00 90.00 90.00
Space group Pbca (No. 61)
Symmetry-distinct sites (fractional):
Tc1 0.1913 0.1032 0.0136
O1 0.0000 0.0000 0.0000
O2 0.0549 0.2033 0.9592
O3 0.0884 0.5867 0.8777
O4 0.2042 0.6144 0.2141



[2]
Computed X-ray diffraction stick pattern
Compound: ErMg8Pt2
Radiation: CuKα
Structure: a PBE-relaxed structure

Top 10 peaks for 2θ from 10° to 90°, in order of rising 2θ:
2θ = 19.93°, I = 58, hkl 1 1 -1
2θ = 22.35°, I = 87, hkl 2 0 0
2θ = 22.93°, I = 94, hkl 0 2 1
2θ = 24.12°, I = 38, hkl 1 1 1
2θ = 24.68°, I = 100, hkl 1 3 0
2θ = 29.15°, I = 37, hkl 2 2 -1
2θ = 35.07°, I = 37, hkl 2 2 1
2θ = 35.61°, I = 38, hkl 0 0 2
2θ = 40.68°, I = 47, hkl 3 3 0
2θ = 41.71°, I = 39, hkl 1 5 -1

Cell and atoms:
Lattice parameters (Å, degrees): 8.1777 12.1406 5.1830 90.00 103.39 90.00
Space group C2/m (No. 12)
Symmetry-distinct sites (fractional):
Er1 0.0000 0.0000 0.0000
Mg1 0.0000 0.2669 0.0000
Mg2 0.0926 0.5000 0.7773
Mg3 0.1976 0.1300 0.5758
Pt1 0.0000 0.3104 0.5000



[3]
Computed X-ray diffraction stick pattern
Compound: PmEr2ZrSc4
Radiation: CuKα
Structure: a PBE-relaxed structure

Top 10 peaks for 2θ from 10° to 90°, in order of rising 2θ:
2θ = 19.01°, I = 25, hkl 0 0 2
2θ = 26.39°, I = 23, hkl 1 1 0
2θ = 32.73°, I = 100, hkl 1 1 2
2θ = 37.66°, I = 34, hkl 2 0 0
2θ = 38.57°, I = 16, hkl 0 0 4
2θ = 42.52°, I = 14, hkl 2 0 2
2θ = 55.01°, I = 22, hkl 2 0 4
2θ = 64.82°, I = 13, hkl 3 1 2
2θ = 64.94°, I = 13, hkl 1 3 2
2θ = 66.11°, I = 12, hkl 1 1 6

Cell and atoms:
Lattice parameters (Å, degrees): 4.7822 4.7710 9.3367 90.00 90.05 90.00
Space group P2/m (No. 10)
Symmetry-distinct sites (fractional):
Pm1 0.0000 0.0000 0.0000
Er1 0.0000 0.0000 0.5000
Er2 0.5000 0.5000 0.0000
Zr1 0.5000 0.5000 0.5000
Sc1 0.0000 0.5000 0.2625
Sc2 0.4999 0.0000 0.2625



[4]
Computed X-ray diffraction stick pattern
Compound: Nd3P2
Radiation: CuKα
Structure: a PBE-relaxed structure

Top 10 peaks for 2θ from 10° to 90°, in order of rising 2θ:
2θ = 25.16°, I = 11, hkl 1 1 0
2θ = 26.45°, I = 20, hkl 0 0 6
2θ = 28.48°, I = 100, hkl 1 1 3
2θ = 36.82°, I = 27, hkl 1 1 6
2θ = 44.32°, I = 26, hkl 3 0 0
2θ = 47.96°, I = 24, hkl 1 1 9
2θ = 52.35°, I = 18, hkl 3 0 6
2θ = 53.53°, I = 17, hkl 2 2 3
2θ = 71.95°, I = 14, hkl 4 1 3
2θ = 72.73°, I = 12, hkl 3 0 12

Cell and atoms:
Lattice parameters (Å, degrees): 7.0800 7.0800 20.2206 90.00 90.00 120.00
Space group R-3c (No. 167, hexagonal axes)
Symmetry-distinct sites (fractional):
Nd1 0.0000 0.3257 0.2500
P1 0.0000 0.0000 0.1618



[5]
Computed X-ray diffraction stick pattern
Compound: CaTm2Cu9
Radiation: CuKα
Structure: a PBE-relaxed structure

Top 10 peaks for 2θ from 10° to 90°, in order of rising 2θ:
2θ = 10.69°, I = 41, hkl 0 0 3
2θ = 32.24°, I = 38, hkl 1 0 7
2θ = 34.82°, I = 48, hkl 1 1 0
2θ = 35.22°, I = 27, hkl 0 1 8
2θ = 40.60°, I = 35, hkl 0 2 1
2θ = 41.28°, I = 100, hkl 1 1 6
2θ = 43.08°, I = 29, hkl 0 2 4
2θ = 44.52°, I = 36, hkl 2 0 5
2θ = 45.00°, I = 34, hkl 0 1 11
2θ = 73.52°, I = 25, hkl 2 2 0

Cell and atoms:
Lattice parameters (Å, degrees): 5.1528 5.1528 24.8334 90.00 90.00 120.00
Space group R-3m (No. 166, hexagonal axes)
Symmetry-distinct sites (fractional):
Ca1 0.0000 0.0000 0.0000
Tm1 0.0000 0.0000 0.1412
Cu1 0.0000 0.0000 0.3326
Cu2 0.0000 0.0000 0.5000
Cu3 0.0011 0.5005 0.9169



[6]
Computed X-ray diffraction stick pattern
Compound: TiMn2Ni9
Radiation: CuKα
Structure: a PBE-relaxed structure

Top 5 peaks for 2θ from 10° to 90°, in order of rising 2θ:
2θ = 24.86°, I = 1, hkl 0 0 3
2θ = 35.45°, I = 1, hkl 1 0 3
2θ = 43.78°, I = 100, hkl 1 1 3
2θ = 51.00°, I = 46, hkl 2 0 0
2θ = 75.01°, I = 27, hkl 2 2 0

Cell and atoms:
Lattice parameters (Å, degrees): 3.5830 3.5830 10.7330 90.00 90.00 90.00
Space group P4/mmm (No. 123)
Symmetry-distinct sites (fractional):
Ti1 0.0000 0.0000 0.0000
Mn1 0.0000 0.0000 0.3357
Ni1 0.0000 0.5000 0.1679
Ni2 0.0000 0.5000 0.5000
Ni3 0.5000 0.5000 0.0000
Ni4 0.5000 0.5000 0.3332



[7]
Computed X-ray diffraction stick pattern
Compound: K2BeC4O8
Radiation: CuKα
Structure: a PBE-relaxed structure

Top 10 peaks for 2θ from 10° to 90°, in order of rising 2θ:
2θ = 26.07°, I = 38, hkl 4 0 0
2θ = 26.44°, I = 28, hkl 0 0 2
2θ = 26.90°, I = 100, hkl 2 2 1
2θ = 29.54°, I = 23, hkl 2 0 2
2θ = 30.92°, I = 22, hkl 4 1 1
2θ = 32.14°, I = 75, hkl 0 3 1
2θ = 35.41°, I = 37, hkl 5 0 1
2θ = 42.52°, I = 27, hkl 4 2 2
2θ = 43.79°, I = 29, hkl 2 4 1
2θ = 45.44°, I = 22, hkl 1 2 3

Cell and atoms:
Lattice parameters (Å, degrees): 13.6700 9.1628 6.7427 90.00 90.00 90.00
Space group Pnma (No. 62)
Symmetry-distinct sites (fractional):
K1 0.1050 0.0027 0.1927
Be1 0.2473 0.2500 0.9305
C1 0.0941 0.2500 0.7542
C2 0.1406 0.6648 0.6809
C3 0.1798 0.2500 0.6006
O1 0.0071 0.2500 0.7041
O2 0.0892 0.5910 0.7933
O3 0.1277 0.2500 0.9358
O4 0.1658 0.2500 0.4196
O5 0.2005 0.6136 0.5462
O6 0.2355 0.7500 0.1903



[8]
Computed X-ray diffraction stick pattern
Compound: AcHfN3
Radiation: CuKα
Structure: a PBE-relaxed structure

Top 10 peaks for 2θ from 10° to 90°, in order of rising 2θ:
2θ = 16.75°, I = 17, hkl 1 0 0
2θ = 22.85°, I = 93, hkl 1 0 1
2θ = 29.23°, I = 100, hkl 1 1 0
2θ = 31.15°, I = 25, hkl 0 0 2
2θ = 37.43°, I = 27, hkl 2 0 1
2θ = 43.24°, I = 83, hkl 1 1 2
2θ = 48.18°, I = 27, hkl 2 1 1
2θ = 51.83°, I = 25, hkl 3 0 0
2θ = 61.72°, I = 25, hkl 3 0 2
2θ = 69.73°, I = 20, hkl 2 2 2

Cell and atoms:
Lattice parameters (Å, degrees): 6.1102 6.1102 5.7419 90.00 90.00 120.00
Space group P6_322 (No. 182)
Symmetry-distinct sites (fractional):
Ac1 0.3333 0.6667 0.2500
Hf1 0.0000 0.0000 0.2500
N1 0.0000 0.2693 0.5000



[9]
Computed X-ray diffraction stick pattern
Compound: MgHIr3
Radiation: CuKα
Structure: a PBE-relaxed structure

Top 10 peaks for 2θ from 10° to 90°, in order of rising 2θ:
2θ = 19.95°, I = 11, hkl 2 0 0
2θ = 20.60°, I = 22, hkl 2 0 -1
2θ = 36.49°, I = 29, hkl 1 1 -1
2θ = 40.53°, I = 24, hkl 4 0 0
2θ = 41.93°, I = 100, hkl 4 0 -2
2θ = 55.67°, I = 18, hkl 5 1 -1
2θ = 65.68°, I = 17, hkl 0 2 0
2θ = 74.69°, I = 18, hkl 8 0 -2
2θ = 80.10°, I = 19, hkl 4 2 0
2θ = 81.04°, I = 14, hkl 4 2 -2

Cell and atoms:
Lattice parameters (Å, degrees): 10.1740 2.8419 4.9275 90.00 118.96 90.00
Space group Cm (No. 8)
Symmetry-distinct sites (fractional):
Mg1 0.0000 0.0000 0.0000
H1 0.1741 0.5000 0.3283
Ir1 0.2450 0.0000 0.5982
Ir2 0.2549 0.5000 0.0793
Ir3 0.4952 0.0000 0.5219



[10]
Computed X-ray diffraction stick pattern
Compound: Li4Zn5Ag
Radiation: CuKα
Structure: a PBE-relaxed structure

Top 10 peaks for 2θ from 10° to 90°, in order of rising 2θ:
2θ = 12.03°, I = 19, hkl 0 0 2
2θ = 27.96°, I = 32, hkl 1 0 0
2θ = 28.62°, I = 15, hkl 1 0 1
2θ = 30.53°, I = 15, hkl 1 0 2
2θ = 33.50°, I = 13, hkl 1 0 3
2θ = 39.95°, I = 58, hkl 1 1 0
2θ = 41.75°, I = 100, hkl 1 0 5
2θ = 57.78°, I = 19, hkl 2 0 0
2θ = 73.79°, I = 34, hkl 2 1 5
2θ = 77.42°, I = 16, hkl 1 1 10

Cell and atoms:
Lattice parameters (Å, degrees): 3.1914 3.1914 14.7129 90.00 90.00 90.00
Space group P4/mmm (No. 123)
Symmetry-distinct sites (fractional):
Li1 0.0000 0.0000 0.0990
Li2 0.0000 0.0000 0.2972
Zn1 0.5000 0.5000 0.0000
Zn2 0.5000 0.5000 0.1983
Zn3 0.5000 0.5000 0.3912
Ag1 0.0000 0.0000 0.5000



[11]
Computed X-ray diffraction stick pattern
Compound: Ba4Cd3
Radiation: CuKα
Structure: a PBE-relaxed structure

Top 10 peaks for 2θ from 10° to 90°, in order of rising 2θ:
2θ = 20.88°, I = 5, hkl 1 0 4
2θ = 29.69°, I = 100, hkl 1 1 0
2θ = 42.49°, I = 19, hkl 2 0 8
2θ = 52.67°, I = 29, hkl 3 0 0
2θ = 52.77°, I = 10, hkl 1 0 16
2θ = 61.60°, I = 6, hkl 2 2 0
2θ = 61.71°, I = 6, hkl 0 2 16
2θ = 69.91°, I = 17, hkl 3 1 8
2θ = 85.32°, I = 15, hkl 4 1 0
2θ = 85.50°, I = 5, hkl 1 1 24

Cell and atoms:
Lattice parameters (Å, degrees): 6.0224 6.0224 29.4313 90.00 90.00 120.00
Space group R-3m (No. 166, hexagonal axes)
Symmetry-distinct sites (fractional):
Ba1 0.0000 0.0000 0.1240
Ba2 0.0000 0.0000 0.3744
Cd1 0.0000 0.0000 0.0000
Cd2 0.0000 0.0000 0.2503



[12]
Computed X-ray diffraction stick pattern
Compound: Pr4PdRuCl2
Radiation: CuKα
Structure: a PBE-relaxed structure

Top 10 peaks for 2θ from 10° to 90°, in order of rising 2θ:
2θ = 11.57°, I = 53, hkl 0 0 1
2θ = 26.04°, I = 22, hkl 1 1 -1
2θ = 29.34°, I = 100, hkl 1 1 1
2θ = 29.45°, I = 49, hkl 2 0 -2
2θ = 37.12°, I = 18, hkl 1 1 2
2θ = 40.26°, I = 48, hkl 2 0 2
2θ = 43.74°, I = 53, hkl 0 2 0
2θ = 50.62°, I = 18, hkl 1 1 -4
2θ = 53.57°, I = 26, hkl 2 2 -2
2θ = 71.49°, I = 15, hkl 1 3 1

Cell and atoms:
Lattice parameters (Å, degrees): 7.1595 4.1446 8.0073 90.00 107.15 90.00
Space group P2/m (No. 10)
Symmetry-distinct sites (fractional):
Pr1 0.2250 0.0000 0.2090
Pr2 0.2526 0.5000 0.7937
Pd1 0.5000 0.0000 0.0000
Ru1 0.0000 0.5000 0.0000
Cl1 0.0000 0.0000 0.5000
Cl2 0.5000 0.5000 0.5000